No. 1
This entry pairs a crystal structure of PuCoNi with its simulated powder XRD pattern. Radiation: Cu Kα. Structure: a cell relaxed with GGA-PBE.
Intensities are scaled so that the largest is 100.

a = 3.9939 Å, b = 3.9939 Å, c = 3.6829 Å
α = 90.00°, β = 90.00°, γ = 120.00°
Fractional coordinates of all 3 atoms:
Pu (0.0000, 0.0000, 0.0000)
Co (0.6667, 0.3333, 0.5000)
Ni (0.3333, 0.6667, 0.5000)

Top 10 peaks for 2θ = 10–80°, by intensity:
2theta, d (Å), intensity
35.61, 2.521, 100
45.42, 1.997, 37
25.76, 3.459, 36
59.01, 1.565, 23
77.48, 1.232, 21
69.43, 1.354, 21
49.50, 1.841, 10
56.63, 1.625, 9
52.95, 1.729, 6
24.17, 3.683, 5

No. 2
This entry pairs a crystal structure of NdZn2GeAu with its simulated powder XRD pattern. Radiation: Cu Kα. Structure: a cell relaxed with GGA-PBE.
Intensities are scaled so that the largest is 100.

a = 6.2453 Å, b = 6.2453 Å, c = 6.2453 Å
α = 140.40°, β = 140.14°, γ = 57.45°
Fractional coordinates of all 5 atoms:
Nd (0.0000, 0.0000, 0.0000)
Zn (0.3815, 0.3815, 0.0000)
Zn (0.7487, 0.2487, 0.5000)
Ge (0.6040, 0.6040, 0.0000)
Au (0.2465, 0.7465, 0.5000)

Top 10 peaks for 2θ = 10–80°, by intensity:
2theta, d (Å), intensity
34.06, 2.632, 100
32.34, 2.768, 38
42.46, 2.129, 22
42.74, 2.116, 22
46.66, 1.947, 20
44.80, 2.023, 17
61.82, 1.501, 14
54.58, 1.681, 14
22.40, 3.969, 13
59.24, 1.560, 12

No. 3
This entry pairs a crystal structure of Sr2YZrO6 with its simulated powder XRD pattern. Radiation: Cu Kα. Structure: a cell relaxed with GGA-PBE.
Intensities are scaled so that the largest is 100.

a = 5.9342 Å, b = 6.0759 Å, c = 10.3250 Å
α = 90.00°, β = 125.07°, γ = 90.00°
Fractional coordinates of all 20 atoms:
Sr (0.2381, 0.0443, 0.2515)
Sr (0.2381, 0.4557, 0.7515)
Sr (0.7619, 0.5443, 0.2485)
Sr (0.7619, 0.9557, 0.7485)
Y (0.5000, 0.0000, 0.0000)
Y (0.5000, 0.5000, 0.5000)
Zr (0.0000, 0.0000, 0.5000)
Zr (0.0000, 0.5000, 0.0000)
O (0.1442, 0.2181, 0.9457)
O (0.1442, 0.2819, 0.4457)
O (0.2353, 0.7009, 0.9509)
O (0.2353, 0.7991, 0.4509)
O (0.3376, 0.0359, 0.7411)
O (0.3376, 0.4641, 0.2411)
O (0.6624, 0.5359, 0.7589)
O (0.6624, 0.9641, 0.2589)
O (0.7647, 0.2009, 0.5491)
O (0.7647, 0.2991, 0.0491)
O (0.8558, 0.7181, 0.5543)
O (0.8558, 0.7819, 0.0543)

Top 10 peaks for 2θ = 10–80°, by intensity:
2theta, d (Å), intensity
29.83, 2.995, 100
42.59, 2.123, 27
53.27, 1.720, 23
29.40, 3.038, 23
30.12, 2.967, 23
52.42, 1.746, 16
42.80, 2.113, 15
61.97, 1.497, 14
53.32, 1.718, 12
52.78, 1.735, 11

No. 4
This entry pairs a crystal structure of Ac2Zn7Ge with its simulated powder XRD pattern. Radiation: Cu Kα. Structure: a cell relaxed with GGA-PBE.
Intensities are scaled so that the largest is 100.

a = 4.4928 Å, b = 4.4928 Å, c = 10.4242 Å
α = 90.00°, β = 90.00°, γ = 90.00°
Fractional coordinates of all 10 atoms:
Ac (0.0000, 0.5000, 0.2504)
Ac (0.5000, 0.0000, 0.7496)
Zn (0.0000, 0.0000, 0.0000)
Zn (0.0000, 0.0000, 0.5000)
Zn (0.0000, 0.5000, 0.6251)
Zn (0.0000, 0.5000, 0.8687)
Zn (0.5000, 0.0000, 0.1313)
Zn (0.5000, 0.0000, 0.3749)
Zn (0.5000, 0.5000, 0.5000)
Ge (0.5000, 0.5000, 0.0000)

Top 10 peaks for 2θ = 10–80°, by intensity:
2theta, d (Å), intensity
33.02, 2.713, 100
32.58, 2.749, 75
40.14, 2.246, 55
52.62, 1.739, 39
48.11, 1.891, 28
21.54, 4.126, 28
28.09, 3.177, 26
68.45, 1.371, 24
64.40, 1.447, 23
58.07, 1.588, 18